Entry 1:
Starting from a structure optimized by DFT (PBE), the powder diffraction line list of ErMg16Al12 was simulated for copper Kα.
Kinematic intensities with the Lorentz-polarization factor, no thermal factor.

Most intense lines, 2θ = 15–90°, by angle:
d/Å	two_theta	I/Imax	index
5.273	16.81	30.3	0 2 1
4.330	20.51	34.1	2 1 1
3.369	26.46	21.4	1 3 1
2.528	35.50	56.6	3 3 0
2.519	35.65	29.8	0 5 1
2.490	36.07	96.1	2 3 2
2.445	36.76	100.0	0 3 3
2.280	39.53	50.5	5 1 1
2.165	41.72	25.0	4 2 2
1.443	64.57	28.2	3 6 3

Atomic structure:
Cell: 15.1707 15.1707 8.8420 Å, 90.00 90.00 120.00°
Space group R3m (No. 160, hexagonal axes)
One atom of each set of equivalent atoms:
Er  0.0000  0.0000  0.0000 [3 per cell]
Mg  0.0000  0.0000  0.6264 [3 per cell]
Mg  0.0325  0.3599  0.9895 [18 per cell]
Mg  0.1061  0.5530  0.1770 [9 per cell]
Mg  0.1101  0.2202  0.1280 [9 per cell]
Mg  0.1993  0.3985  0.7437 [9 per cell]
Al  0.0014  0.1817  0.8125 [18 per cell]
Al  0.1208  0.0604  0.3168 [9 per cell]
Al  0.2121  0.4242  0.2267 [9 per cell]

***

Entry 2:
Starting from a structure optimized by DFT (PBE), the powder diffraction line list of CsAgSb4S7 was simulated for copper Kα.
Kinematic intensities with the Lorentz-polarization factor, no thermal factor.

Most intense lines, 2θ = 15–90°, by angle:
d/Å	two_theta	I/Imax	index
4.118	21.58	86.0	5 1 1
3.868	22.99	66.9	5 1 -2
3.788	23.49	98.6	1 1 -3
3.577	24.89	47.1	2 2 -2
3.485	25.56	92.6	4 2 1
3.439	25.91	57.9	7 1 -1
3.323	26.83	56.8	3 1 3
2.944	30.36	77.1	2 0 4
2.903	30.80	100.0	1 3 -1
2.884	31.01	49.7	1 3 1

Atomic structure:
Cell: 26.463 8.981 12.540 Å, 90.00 97.22 90.00°
Space group C2/c (No. 15)
One atom of each set of equivalent atoms:
Cs  0.000  0.165  0.250 [4 per cell]
Cs  0.250  0.250  0.000 [4 per cell]
Ag  0.242  0.101  0.313 [8 per cell]
Sb  0.073  0.446  0.576 [8 per cell]
Sb  0.080  0.207  0.875 [8 per cell]
Sb  0.141  0.086  0.561 [8 per cell]
Sb  0.148  0.397  0.324 [8 per cell]
S  0.039  0.473  0.890 [8 per cell]
S  0.050  0.178  0.548 [8 per cell]
S  0.110  0.194  0.068 [8 per cell]
S  0.149  0.052  0.369 [8 per cell]
S  0.151  0.321  0.794 [8 per cell]
S  0.164  0.402  0.526 [8 per cell]
S  0.238  0.385  0.304 [8 per cell]

***

Entry 3:
Starting from a structure optimized by DFT (PBE), the powder diffraction line list of NdSnRh was simulated for copper Kα.
Kinematic intensities with the Lorentz-polarization factor, no thermal factor.

Most intense lines, 2θ = 15–90°, by angle:
d/Å	two_theta	I/Imax	index
2.792	32.06	100.0	1 1 1
2.565	34.98	99.5	2 0 1
2.454	36.62	52.8	2 1 0
2.164	41.74	29.2	3 0 0
2.117	42.72	25.8	2 1 1
2.093	43.23	30.7	0 0 2
1.654	55.56	18.0	3 1 1
1.592	57.92	28.5	2 1 2
1.504	61.66	18.3	3 0 2
1.403	66.65	30.7	3 2 1

Atomic structure:
Cell: 7.4964 7.4964 4.1852 Å, 90.00 90.00 120.00°
Space group P-62m (No. 189)
One atom of each set of equivalent atoms:
Nd  0.0000  0.5867  0.0000 [3 per cell]
Sn  0.0000  0.2494  0.5000 [3 per cell]
Rh  0.0000  0.0000  0.0000 [1 per cell]
Rh  0.3333  0.6667  0.5000 [2 per cell]

***

Entry 4:
Starting from a structure optimized by DFT (PBE), the powder diffraction line list of CeNiPt was simulated for copper Kα.
Kinematic intensities with the Lorentz-polarization factor, no thermal factor.

Most intense lines, 2θ = 15–90°, by angle:
d/Å	two_theta	I/Imax	index
3.387	26.31	21.1	1 0 2
3.264	27.32	34.3	1 1 1
2.637	34.00	24.0	1 1 2
2.593	34.60	38.9	2 0 2
2.536	35.40	100.0	2 1 1
2.228	40.50	15.0	3 0 1
2.200	41.02	65.5	0 1 3
2.100	43.07	34.8	0 2 0
1.632	56.38	19.1	2 2 2
1.367	68.67	13.6	4 1 3

Atomic structure:
Cell: 6.977 4.201 7.749 Å, 90.00 90.00 90.00°
Space group Pnma (No. 62)
One atom of each set of equivalent atoms:
Ce  0.000  0.250  0.212 [4 per cell]
Ni  0.189  0.250  0.592 [4 per cell]
Pt  0.220  0.750  0.410 [4 per cell]

***

Entry 5:
Starting from a structure optimized by DFT (PBE), the powder diffraction line list of Ba7Ru4Cl2O15 was simulated for copper Kα.
Kinematic intensities with the Lorentz-polarization factor, no thermal factor.

Most intense lines, 2θ = 15–90°, by angle:
d/Å	two_theta	I/Imax	index
3.648	24.40	29.3	1 0 10
3.011	29.67	45.4	0 1 14
2.943	30.37	100.0	1 1 0
2.749	32.57	17.2	1 0 16
2.291	39.33	18.5	0 2 10
2.247	40.13	18.4	2 0 11
2.105	42.98	22.4	2 0 14
1.712	53.53	16.3	1 2 14
1.699	53.96	19.6	3 0 0
1.471	63.19	21.8	2 2 0

Atomic structure:
Cell: 5.8860 5.8860 52.2395 Å, 90.00 90.00 120.00°
Space group R-3m (No. 166, hexagonal axes)
One atom of each set of equivalent atoms:
Ba  0.0000  0.0000  0.0000 [3 per cell]
Ba  0.0000  0.0000  0.0838 [6 per cell]
Ba  0.0000  0.0000  0.2060 [6 per cell]
Ba  0.0000  0.0000  0.2862 [6 per cell]
Ru  0.0000  0.0000  0.3542 [6 per cell]
Ru  0.0000  0.0000  0.4061 [6 per cell]
Cl  0.0000  0.0000  0.1443 [6 per cell]
O  0.0000  0.5000  0.0000 [9 per cell]
O  0.0128  0.5064  0.0916 [18 per cell]
O  0.0285  0.5142  0.2878 [18 per cell]

***

Entry 6:
Starting from a structure optimized by DFT (PBE), the powder diffraction line list of Y6InCo2 was simulated for copper Kα.
Kinematic intensities with the Lorentz-polarization factor, no thermal factor.

Most intense lines, 2θ = 15–90°, by angle:
d/Å	two_theta	I/Imax	index
3.014	29.64	17.2	3 1 0
2.813	31.81	100.0	2 2 2
2.635	34.02	28.8	2 1 3
2.613	34.32	43.1	1 3 2
2.583	34.73	27.9	2 3 1
2.566	34.97	14.2	3 2 1
2.512	35.74	15.3	0 0 4
2.378	37.83	20.7	4 0 0
1.654	55.56	15.7	3 5 0
1.559	59.29	20.3	5 3 2

Atomic structure:
Cell: 9.514 9.692 10.048 Å, 90.00 90.00 90.00°
Space group Immm (No. 71)
One atom of each set of equivalent atoms:
Y  0.000  0.209  0.233 [8 per cell]
Y  0.194  0.500  0.183 [8 per cell]
Y  0.213  0.314  0.500 [8 per cell]
In  0.000  0.000  0.000 [2 per cell]
In  0.000  0.000  0.500 [2 per cell]
Co  0.000  0.375  0.000 [4 per cell]
Co  0.000  0.500  0.389 [4 per cell]